Calculated PXRD pattern
Compound: La4CuNiO8
Radiation: Cu Kα
Structure: the GGA+U geometry in the Materials Project
Kinematic intensities with the Lorentz-polarization factor, no thermal factor.

Crystal structure
abc: 6.9873 6.9873 15.4663
angles: 105.38 105.38 32.21
Element x y z (fractional)
La 0.1328 0.1328 0.4052
La 0.1328 0.1328 0.9052
La 0.1433 0.1433 0.1588
La 0.1433 0.1433 0.6587
La 0.8567 0.8567 0.3413
La 0.8567 0.8567 0.8412
La 0.8672 0.8672 0.0948
La 0.8672 0.8672 0.5948
Cu 0.5000 0.5000 0.0000
Cu 0.5000 0.5000 0.5000
Ni 0.4998 0.4998 0.2499
Ni 0.5002 0.5002 0.7501
O 0.0000 0.0000 0.0000
O 0.0001 0.0001 0.2500
O 0.0000 0.0000 0.5000
O 0.9999 0.9999 0.7500
O 0.3086 0.3086 0.4375
O 0.3085 0.3085 0.9374
O 0.3260 0.3260 0.2139
O 0.3260 0.3260 0.7138
O 0.4904 0.4904 0.1200
O 0.4904 0.4904 0.6201
O 0.5096 0.5096 0.3799
O 0.5096 0.5096 0.8800
O 0.6740 0.6740 0.2862
O 0.6740 0.6740 0.7861
O 0.6915 0.6915 0.0626
O 0.6914 0.6914 0.5625

Peak list (8 most intense, 10 to 80 degrees two-theta, sorted by position)
23.96°, rel. 289; 30.90°, rel. 350; 31.06°, rel. 719; 31.30°, rel. 373; 32.72°, rel. 1000; 42.04°, rel. 293; 46.88°, rel. 254; 47.01°, rel. 243